# PrCu2Ge2
Computed X-ray powder pattern, Cu Ka. Input: a structure optimized by DFT (GGA-PBE).
Intensities are scaled so that the largest is 100.

Peak list (10 most intense, 5° ≤ 2θ ≤ 70°, low angle first)
- 2θ 30.3, I = 21, (1 1 0)
- 2θ 33.8, I = 81, (1 0 3)
- 2θ 35.0, I = 100, (1 1 2)
- 2θ 43.4, I = 63, (2 0 0)
- 2θ 46.8, I = 11, (1 1 4)
- 2θ 49.2, I = 30, (1 0 5)
- 2θ 56.1, I = 38, (2 1 3)
- 2θ 62.5, I = 16, (1 1 6)
- 2θ 63.0, I = 20, (2 2 0)
- 2θ 67.7, I = 23, (2 1 5)

Structure:
```
data_PrCu2Ge2
_chemical_formula_sum 'Pr2 Cu4 Ge4'
_cell_length_a 4.1712
_cell_length_b 4.1712
_cell_length_c 10.3271
_cell_angle_alpha 90.00
_cell_angle_beta 90.00
_cell_angle_gamma 90.00
_symmetry_space_group_name_H-M 'I 4/m m m'
_symmetry_Int_Tables_number 139
_symmetry_space_group_name_Hall '-I 4 2'
loop_
_atom_site_label
_atom_site_type_symbol
_atom_site_fract_x
_atom_site_fract_y
_atom_site_fract_z
Pr1 Pr 0.0000 0.0000 0.0000
Cu1 Cu 0.0000 0.5000 0.2500
Ge1 Ge 0.0000 0.0000 0.3770
```